(1)
Structure and calculated X-ray powder pattern of Ce2In5Br12 (a cell relaxed with PBE; copper Kα).
Intensities are scaled so that the largest is 100.

Largest 10 diffraction maxima, low angle first, 5 to 70 degrees two-theta:
d/Å  two_theta  I_rel
5.126  17.3  37.6
4.730  18.8  56.6
4.529  19.6  44.7
3.309  26.9  52.7
3.277  27.2  100.0
3.027  29.5  48.6
2.823  31.7  56.0
2.568  34.9  51.9
2.356  38.2  52.7
2.165  41.7  49.6

Crystal structure
a = 9.968 Å, b = 9.968 Å, c = 10.635 Å
α = 107.40°, β = 107.40°, γ = 51.49°
Sites, in units of the cell vectors:
Ce 0.249 0.751 0.000
Ce 0.751 0.249 0.000
In 0.181 0.181 0.767
In 0.221 0.221 0.379
In 0.500 0.500 0.500
In 0.779 0.779 0.621
In 0.819 0.819 0.233
Br 0.005 0.005 0.190
Br 0.076 0.599 0.915
Br 0.106 0.612 0.448
Br 0.388 0.894 0.552
Br 0.401 0.924 0.085
Br 0.498 0.498 0.816
Br 0.502 0.502 0.184
Br 0.599 0.076 0.915
Br 0.612 0.106 0.448
Br 0.894 0.388 0.552
Br 0.924 0.401 0.085
Br 0.995 0.995 0.810

(2)
Structure and calculated X-ray powder pattern of LiMgHgRh (a cell relaxed with PBE; copper Kα).
Intensities are scaled so that the largest is 100.

Largest 10 diffraction maxima, low angle first, 5 to 70 degrees two-theta:
d/Å  two_theta  I_rel
3.986  22.3  68.5
2.850  31.4  59.0
2.318  38.8  100.0
2.167  41.7  20.5
1.993  45.5  16.0
1.904  47.8  18.6
1.891  48.1  13.6
1.709  53.6  13.2
1.633  56.3  22.9
1.467  63.4  11.8

Crystal structure
a = 3.783 Å, b = 3.986 Å, c = 4.334 Å
α = 90.00°, β = 90.00°, γ = 90.00°
Sites, in units of the cell vectors:
Li 0.000 0.000 0.000
Mg 0.500 0.000 0.500
Hg 0.500 0.500 0.000
Rh 0.000 0.500 0.500

(3)
Structure and calculated X-ray powder pattern of Pr12SmIn4N3 (a cell relaxed with PBE; copper Kα).
Intensities are scaled so that the largest is 100.

Largest 10 diffraction maxima, low angle first, 5 to 70 degrees two-theta:
d/Å  two_theta  I_rel
5.190  17.1  7.4
3.282  27.2  4.8
2.996  29.8  100.0
2.774  32.3  7.0
2.595  34.6  71.9
2.213  40.8  5.6
1.835  49.7  48.6
1.565  59.0  38.9
1.498  61.9  15.8
1.413  66.2  4.7

Crystal structure
a = 8.989 Å, b = 8.989 Å, c = 8.989 Å
α = 109.47°, β = 109.47°, γ = 109.47°
Sites, in units of the cell vectors:
Pr 0.000 0.275 0.275
Pr 0.000 0.725 0.725
Pr 0.250 0.500 0.750
Pr 0.250 0.750 0.500
Pr 0.275 0.000 0.275
Pr 0.275 0.275 0.000
Pr 0.500 0.250 0.750
Pr 0.500 0.750 0.250
Pr 0.725 0.000 0.725
Pr 0.725 0.725 0.000
Pr 0.750 0.250 0.500
Pr 0.750 0.500 0.250
Sm 0.000 0.000 0.000
In 0.000 0.000 0.500
In 0.000 0.500 0.000
In 0.500 0.000 0.000
In 0.500 0.500 0.500
N 0.000 0.500 0.500
N 0.500 0.000 0.500
N 0.500 0.500 0.000